Computed powder diffraction line list of Sm4Cl6O for Cu Kα, 1.54184 Å, from the GGA-PBE geometry in Alexandria.
Lines closer than 0.1° are merged.

Principal peaks in the range 2θ = 10–90°, by angle:
hkl 1 0 1, d 5.396, 16.4 deg, intensity 67
hkl 2 0 1, d 3.484, 25.6 deg, intensity 100
hkl 2 0 2, d 2.698, 33.2 deg, intensity 44
hkl 3 0 1, d 2.481, 36.2 deg, intensity 36
hkl 2 1 2, d 2.322, 38.8 deg, intensity 45
hkl 2 2 0, d 2.281, 39.5 deg, intensity 59

Crystal structure
```
data_Sm4Cl6O
_chemical_formula_sum 'Sm8 Cl12 O2'
_cell_length_a 9.124
_cell_length_b 9.124
_cell_length_c 7.387
_cell_angle_alpha 90.00
_cell_angle_beta 90.00
_cell_angle_gamma 120.00
_symmetry_space_group_name_H-M 'P 1'
_symmetry_Int_Tables_number 1
_symmetry_space_group_name_Hall 'P 1'
loop_
_atom_site_label
_atom_site_type_symbol
_atom_site_fract_x
_atom_site_fract_y
_atom_site_fract_z
_atom_site_occupancy
Sm1 Sm 0.192 0.384 0.000 1
Sm2 Sm 0.192 0.808 0.000 1
Sm3 Sm 0.333 0.667 0.332 1
Sm4 Sm 0.384 0.192 0.500 1
Sm5 Sm 0.616 0.808 0.000 1
Sm6 Sm 0.667 0.333 0.832 1
Sm7 Sm 0.808 0.192 0.500 1
Sm8 Sm 0.808 0.616 0.500 1
Cl1 Cl 0.020 0.510 0.698 1
Cl2 Cl 0.136 0.272 0.381 1
Cl3 Cl 0.136 0.864 0.381 1
Cl4 Cl 0.272 0.136 0.881 1
Cl5 Cl 0.490 0.510 0.698 1
Cl6 Cl 0.490 0.980 0.698 1
Cl7 Cl 0.510 0.020 0.198 1
Cl8 Cl 0.510 0.490 0.198 1
Cl9 Cl 0.728 0.864 0.381 1
Cl10 Cl 0.864 0.136 0.881 1
Cl11 Cl 0.864 0.728 0.881 1
Cl12 Cl 0.980 0.490 0.198 1
O1 O 0.333 0.667 0.007 1
O2 O 0.667 0.333 0.507 1
```